Simulated XRD peak list
Compound: Cu5Pt3
Radiation: Cu Ka
Structure: DFT lattice parameters and positions (GGA-PBE)

Peak list (8 most intense, 15° ≤ 2θ ≤ 90°, low angle first)
d (Å)  two_theta  I (rel.)
3.375  26.41  40
3.134  28.48  40
2.307  39.04  43
2.290  39.35  43
2.235  40.36  46
2.104  43.00  96
2.093  43.22  74
2.086  43.38  100

Structure:
```
data_Cu5Pt3
_space_group_name_H-M_alt 'C 1 2/m 1'
_space_group_IT_number 12
_cell_length_a 4.769
_cell_length_b 13.187
_cell_length_c 7.364
_cell_angle_alpha 90.00
_cell_angle_beta 104.64
_cell_angle_gamma 90.00
loop_
_space_group_symop_operation_xyz
'x,y,z'
'-x,-y,-z'
'-x,y,-z'
'x,-y,z'
'x+1/2,y+1/2,z'
'-x+1/2,-y+1/2,-z'
'-x+1/2,y+1/2,-z'
'x+1/2,-y+1/2,z'
loop_
_atom_site_label
_atom_site_type_symbol
_atom_site_fract_x
_atom_site_fract_y
_atom_site_fract_z
Cu1 Cu 0.068 0.164 0.176
Cu2 Cu 0.075 0.402 0.339
Cu3 Cu 0.247 0.500 0.980
Pt1 Pt 0.000 0.211 0.500
Pt2 Pt 0.000 0.329 0.000
Pt3 Pt 0.097 0.000 0.349
```


Simulated XRD peak list
Compound: Cs2Te3H2
Radiation: Cu Ka
Structure: DFT lattice parameters and positions (GGA-PBE)

Peak list (8 most intense, 15° ≤ 2θ ≤ 90°, low angle first)
d (Å)  two_theta  I (rel.)
4.040  22.00  30
3.648  24.40  100
3.468  25.69  32
3.376  26.40  100
2.787  32.11  25
2.767  32.36  38
2.554  35.13  26
2.497  35.96  30

Structure:
```
data_Cs2Te3H2
_space_group_name_H-M_alt 'P 1 2/m 1'
_space_group_IT_number 10
_cell_length_a 5.912
_cell_length_b 5.533
_cell_length_c 8.523
_cell_angle_alpha 90.00
_cell_angle_beta 90.37
_cell_angle_gamma 90.00
loop_
_space_group_symop_operation_xyz
'x,y,z'
'-x,-y,-z'
'-x,y,-z'
'x,-y,z'
loop_
_atom_site_label
_atom_site_type_symbol
_atom_site_fract_x
_atom_site_fract_y
_atom_site_fract_z
Cs1 Cs 0.204 0.000 0.260
Te1 Te 0.277 0.500 0.938
Te2 Te 0.500 0.500 0.500
H1 H 0.380 0.500 0.719
```